Structure and theoretical powder diffractogram of NdSi2Pt2 (a crystal structure in the Materials Project, relaxed with GGA-PBE; Cu Kα (λ = 1.5418 Å)).

Top 10 peaks for 10° ≤ 2θ ≤ 90°, sorted by position:
2θ = 22.5°, d = 3.959 Å, intensity 14
2θ = 29.3°, d = 3.052 Å, intensity 74
2θ = 34.1°, d = 2.627 Å, intensity 100
2θ = 41.9°, d = 2.158 Å, intensity 44
2θ = 47.2°, d = 1.926 Å, intensity 14
2θ = 50.6°, d = 1.805 Å, intensity 13
2θ = 55.1°, d = 1.668 Å, intensity 52
2θ = 60.7°, d = 1.526 Å, intensity 15
2θ = 68.8°, d = 1.365 Å, intensity 13
2θ = 86.4°, d = 1.126 Å, intensity 15

```
data_NdSi2Pt2
_space_group_name_H-M_alt 'I 4/m m m'
_space_group_IT_number 139
_space_group_name_Hall '-I 4 2'
_cell_length_a 4.317
_cell_length_b 4.317
_cell_length_c 9.933
_cell_angle_alpha 90.00
_cell_angle_beta 90.00
_cell_angle_gamma 90.00
loop_
_atom_site_label
_atom_site_type_symbol
_atom_site_fract_x
_atom_site_fract_y
_atom_site_fract_z
Nd1 Nd 0.000 0.000 0.000
Si1 Si 0.000 0.500 0.250
Pt1 Pt 0.000 0.000 0.362
```


Structure and theoretical powder diffractogram of K3GeH2NO3 (a crystal structure in the Materials Project, relaxed with GGA-PBE; Cu Kα (λ = 1.5418 Å)).

Top 10 peaks for 10° ≤ 2θ ≤ 90°, sorted by position:
2θ = 16.8°, d = 5.288 Å, intensity 53
2θ = 17.1°, d = 5.199 Å, intensity 71
2θ = 19.2°, d = 4.621 Å, intensity 58
2θ = 20.6°, d = 4.313 Å, intensity 55
2θ = 28.0°, d = 3.189 Å, intensity 56
2θ = 28.2°, d = 3.166 Å, intensity 100
2θ = 30.4°, d = 2.939 Å, intensity 89
2θ = 35.5°, d = 2.527 Å, intensity 81
2θ = 35.9°, d = 2.500 Å, intensity 62
2θ = 38.8°, d = 2.319 Å, intensity 56

```
data_K3GeH2NO3
_space_group_name_H-M_alt 'P -1'
_space_group_IT_number 2
_cell_length_a 6.468
_cell_length_b 6.777
_cell_length_c 7.297
_cell_angle_alpha 96.29
_cell_angle_beta 101.42
_cell_angle_gamma 91.61
loop_
_space_group_symop_operation_xyz
'x,y,z'
'-x,-y,-z'
loop_
_atom_site_label
_atom_site_type_symbol
_atom_site_fract_x
_atom_site_fract_y
_atom_site_fract_z
K1 K 0.154 0.199 0.483
K2 K 0.217 0.523 0.870
K3 K 0.262 0.091 0.029
Ge1 Ge 0.286 0.702 0.303
H1 H 0.386 0.890 0.625
H2 H 0.468 0.664 0.631
N1 N 0.340 0.743 0.577
O1 O 0.066 0.850 0.237
O2 O 0.223 0.445 0.239
O3 O 0.496 0.220 0.792
```


Structure and theoretical powder diffractogram of NbS2NO9 (a crystal structure in the Materials Project, relaxed with GGA-PBE; Cu Kα (λ = 1.5418 Å)).

Top 10 peaks for 10° ≤ 2θ ≤ 90°, sorted by position:
2θ = 10.9°, d = 8.106 Å, intensity 39
2θ = 13.9°, d = 6.361 Å, intensity 47
2θ = 19.5°, d = 4.555 Å, intensity 24
2θ = 19.6°, d = 4.539 Å, intensity 22
2θ = 20.1°, d = 4.412 Å, intensity 48
2θ = 21.9°, d = 4.058 Å, intensity 57
2θ = 24.6°, d = 3.617 Å, intensity 18
2θ = 26.2°, d = 3.399 Å, intensity 100
2θ = 27.7°, d = 3.215 Å, intensity 19
2θ = 34.0°, d = 2.640 Å, intensity 20

```
data_NbS2NO9
_space_group_name_H-M_alt 'P n m a'
_space_group_IT_number 62
_cell_length_a 17.772
_cell_length_b 5.280
_cell_length_c 9.109
_cell_angle_alpha 90.00
_cell_angle_beta 90.00
_cell_angle_gamma 90.00
loop_
_space_group_symop_operation_xyz
'x,y,z'
'-x,-y,-z'
'-x+1/2,-y,z+1/2'
'x+1/2,y,-z+1/2'
'x+1/2,-y+1/2,-z+1/2'
'-x+1/2,y+1/2,z+1/2'
'-x,y+1/2,-z'
'x,-y+1/2,z'
loop_
_atom_site_label
_atom_site_type_symbol
_atom_site_fract_x
_atom_site_fract_y
_atom_site_fract_z
Nb1 Nb 0.196 0.250 0.083
S1 S 0.071 0.750 0.131
S2 S 0.193 0.250 0.483
N1 N 0.047 0.750 0.640
O1 O 0.008 0.750 0.235
O2 O 0.042 0.750 0.981
O3 O 0.113 0.250 0.488
O4 O 0.120 0.525 0.161
O5 O 0.166 0.250 0.904
O6 O 0.224 0.024 0.570
O7 O 0.228 0.250 0.337
```


Structure and theoretical powder diffractogram of Sb2O7 (a crystal structure in the Materials Project, relaxed with GGA-PBE; Cu Kα (λ = 1.5418 Å)).

Top 10 peaks for 10° ≤ 2θ ≤ 90°, sorted by position:
2θ = 14.6°, d = 6.062 Å, intensity 77
2θ = 14.7°, d = 6.016 Å, intensity 100
2θ = 28.2°, d = 3.166 Å, intensity 30
2θ = 28.4°, d = 3.147 Å, intensity 50
2θ = 29.5°, d = 3.031 Å, intensity 57
2θ = 29.7°, d = 3.008 Å, intensity 55
2θ = 34.3°, d = 2.618 Å, intensity 19
2θ = 49.3°, d = 1.848 Å, intensity 35
2θ = 58.3°, d = 1.583 Å, intensity 16
2θ = 58.7°, d = 1.573 Å, intensity 22

```
data_Sb2O7
_space_group_name_H-M_alt 'I m a 2'
_space_group_IT_number 46
_cell_length_a 7.448
_cell_length_b 10.435
_cell_length_c 7.363
_cell_angle_alpha 90.00
_cell_angle_beta 90.00
_cell_angle_gamma 90.00
loop_
_space_group_symop_operation_xyz
'x,y,z'
'-x,-y,z'
'-x+1/2,y,z'
'x+1/2,-y,z'
'x+1/2,y+1/2,z+1/2'
'-x+1/2,-y+1/2,z+1/2'
'-x,y+1/2,z+1/2'
'x,-y+1/2,z+1/2'
loop_
_atom_site_label
_atom_site_type_symbol
_atom_site_fract_x
_atom_site_fract_y
_atom_site_fract_z
Sb1 Sb 0.000 0.000 0.000
Sb2 Sb 0.250 0.247 0.249
O1 O 0.052 0.126 0.802
O2 O 0.054 0.123 0.197
O3 O 0.250 0.177 0.501
O4 O 0.250 0.575 0.496
O5 O 0.250 0.705 0.284
```


Structure and theoretical powder diffractogram of NdSi2Pt2 (a crystal structure in the Materials Project, relaxed with GGA-PBE; Cu Kα (λ = 1.5418 Å)).

Top 10 peaks for 10° ≤ 2θ ≤ 90°, sorted by position:
2θ = 17.8°, d = 4.993 Å, intensity 25
2θ = 34.2°, d = 2.621 Å, intensity 12
2θ = 34.8°, d = 2.576 Å, intensity 100
2θ = 36.0°, d = 2.497 Å, intensity 18
2θ = 42.5°, d = 2.126 Å, intensity 35
2θ = 47.3°, d = 1.921 Å, intensity 13
2θ = 56.9°, d = 1.619 Å, intensity 20
2θ = 61.7°, d = 1.503 Å, intensity 12
2θ = 63.9°, d = 1.456 Å, intensity 17
2θ = 72.9°, d = 1.298 Å, intensity 24

```
data_NdSi2Pt2
_space_group_name_H-M_alt 'I 4/m m m'
_space_group_IT_number 139
_space_group_name_Hall '-I 4 2'
_cell_length_a 4.252
_cell_length_b 4.252
_cell_length_c 9.987
_cell_angle_alpha 90.00
_cell_angle_beta 90.00
_cell_angle_gamma 90.00
loop_
_atom_site_label
_atom_site_type_symbol
_atom_site_fract_x
_atom_site_fract_y
_atom_site_fract_z
Nd1 Nd 0.000 0.000 0.000
Si1 Si 0.000 0.000 0.380
Pt1 Pt 0.000 0.500 0.250
```


Structure and theoretical powder diffractogram of Ge (a crystal structure in the Materials Project, relaxed with GGA-PBE; Cu Kα (λ = 1.5418 Å)).

Top 10 peaks for 10° ≤ 2θ ≤ 90°, sorted by position:
2θ = 33.2°, d = 2.698 Å, intensity 65
2θ = 34.5°, d = 2.601 Å, intensity 58
2θ = 36.5°, d = 2.462 Å, intensity 100
2θ = 48.6°, d = 1.872 Å, intensity 44
2θ = 50.2°, d = 1.819 Å, intensity 79
2θ = 63.1°, d = 1.473 Å, intensity 20
2θ = 73.2°, d = 1.293 Å, intensity 25
2θ = 76.8°, d = 1.241 Å, intensity 11
2θ = 81.3°, d = 1.183 Å, intensity 19
2θ = 87.0°, d = 1.120 Å, intensity 16

```
data_Ge
_space_group_name_H-M_alt 'C m m m'
_space_group_IT_number 65
_space_group_name_Hall '-C 2 2'
_cell_length_a 2.794
_cell_length_b 5.201
_cell_length_c 2.698
_cell_angle_alpha 90.00
_cell_angle_beta 90.00
_cell_angle_gamma 90.00
loop_
_atom_site_label
_atom_site_type_symbol
_atom_site_fract_x
_atom_site_fract_y
_atom_site_fract_z
Ge1 Ge 0.000 0.000 0.000
```


Structure and theoretical powder diffractogram of YMg5 (a crystal structure in the Materials Project, relaxed with GGA-PBE; Cu Kα (λ = 1.5418 Å)).

Top 10 peaks for 10° ≤ 2θ ≤ 90°, sorted by position:
2θ = 18.0°, d = 4.941 Å, intensity 27
2θ = 24.8°, d = 3.584 Å, intensity 37
2θ = 31.4°, d = 2.853 Å, intensity 30
2θ = 34.4°, d = 2.603 Å, intensity 25
2θ = 35.9°, d = 2.502 Å, intensity 100
2θ = 47.3°, d = 1.923 Å, intensity 19
2θ = 55.8°, d = 1.647 Å, intensity 17
2θ = 62.7°, d = 1.483 Å, intensity 19
2θ = 67.3°, d = 1.392 Å, intensity 18
2θ = 68.2°, d = 1.376 Å, intensity 13

```
data_YMg5
_space_group_name_H-M_alt 'P -6 2 m'
_space_group_IT_number 189
_space_group_name_Hall 'P -6 -2'
_cell_length_a 5.7051
_cell_length_b 5.7051
_cell_length_c 5.2069
_cell_angle_alpha 90.00
_cell_angle_beta 90.00
_cell_angle_gamma 120.00
loop_
_atom_site_label
_atom_site_type_symbol
_atom_site_fract_x
_atom_site_fract_y
_atom_site_fract_z
Y1 Y 0.0000 0.0000 0.0000
Mg1 Mg 0.0000 0.6412 0.5000
Mg2 Mg 0.3333 0.6667 0.0000
```


Structure and theoretical powder diffractogram of LaTiAlPbO6 (a crystal structure in the Materials Project, relaxed with GGA-PBE; Cu Kα (λ = 1.5418 Å)).

Top 10 peaks for 10° ≤ 2θ ≤ 90°, sorted by position:
2θ = 22.8°, d = 3.897 Å, intensity 51
2θ = 32.5°, d = 2.757 Å, intensity 100
2θ = 32.6°, d = 2.748 Å, intensity 20
2θ = 40.1°, d = 2.250 Å, intensity 41
2θ = 46.5°, d = 1.953 Å, intensity 13
2θ = 46.7°, d = 1.946 Å, intensity 25
2θ = 52.4°, d = 1.745 Å, intensity 12
2θ = 57.9°, d = 1.592 Å, intensity 31
2θ = 58.1°, d = 1.588 Å, intensity 16
2θ = 68.0°, d = 1.379 Å, intensity 18

```
data_LaTiAlPbO6
_space_group_name_H-M_alt 'P m m a'
_space_group_IT_number 51
_cell_length_a 5.496
_cell_length_b 3.906
_cell_length_c 22.057
_cell_angle_alpha 90.00
_cell_angle_beta 90.00
_cell_angle_gamma 90.00
loop_
_space_group_symop_operation_xyz
'x,y,z'
'-x,-y,-z'
'-x+1/2,-y,z'
'x+1/2,y,-z'
'x+1/2,-y,-z'
'-x+1/2,y,z'
'-x,y,-z'
'x,-y,z'
loop_
_atom_site_label
_atom_site_type_symbol
_atom_site_fract_x
_atom_site_fract_y
_atom_site_fract_z
La1 La 0.250 0.000 0.062
La2 La 0.250 0.000 0.818
Ti1 Ti 0.250 0.500 0.435
Ti2 Ti 0.250 0.500 0.693
Al1 Al 0.250 0.500 0.183
Al2 Al 0.250 0.500 0.939
Pb1 Pb 0.250 0.000 0.307
Pb2 Pb 0.250 0.000 0.562
O1 O 0.000 0.500 0.000
O2 O 0.000 0.500 0.500
O3 O 0.001 0.500 0.628
O4 O 0.001 0.500 0.878
O5 O 0.004 0.500 0.757
O6 O 0.250 0.000 0.180
O7 O 0.250 0.000 0.438
O8 O 0.250 0.000 0.696
O9 O 0.250 0.000 0.938
```